For Pr2Y5Sc, a DFT-relaxed cell (PBE, Alexandria) gives the calculated PXRD pattern in this record (a wavelength of 1.5418 Å).
Peak positions follow from Bragg's law for the DFT cell and can differ from measured ones.

Main lines, by intensity (2θ = 10–80°):
2θ (°), intensity
31.5, 100
31.7, 50
30.4, 45
29.9, 31
30.1, 26
56.3, 17
55.0, 14
56.0, 14
59.7, 14
36.8, 12

Atomic structure:
```
Pr2Y5Sc
1.0
8.0089 -4.9252 0.0000
8.0089 4.9252 0.0000
-1.3791 0.0000 6.5582
Pr Y Sc
4 10 2
direct
0.1559 0.6667 0.8621 Pr
0.3333 0.8441 0.6379 Pr
0.6667 0.1559 0.3621 Pr
0.8441 0.3333 0.1379 Pr
0.0072 0.1951 0.6514 Y
0.1951 0.0072 0.1514 Y
0.2148 0.3766 0.4505 Y
0.3766 0.2148 0.9505 Y
0.4367 0.5633 0.2500 Y
0.5633 0.4367 0.7500 Y
0.6234 0.7852 0.0495 Y
0.7852 0.6234 0.5495 Y
0.8049 0.9928 0.8486 Y
0.9928 0.8049 0.3486 Y
0.0000 0.5000 0.0000 Sc
0.5000 0.0000 0.5000 Sc
```

---

For ThUP, a DFT-relaxed cell (PBE, Alexandria) gives the calculated PXRD pattern in this record (a wavelength of 1.5418 Å).
Peak positions follow from Bragg's law for the DFT cell and can differ from measured ones.

Main lines, by intensity (2θ = 10–80°):
2θ (°), intensity
28.6, 100
34.0, 50
47.0, 41
53.2, 41
43.8, 40
23.5, 27
76.6, 20
29.7, 19
56.0, 16
76.0, 14

Atomic structure:
```
ThUP
1.0
1.9334 1.1163 11.3697
-1.9334 1.1163 11.3697
0.0000 -2.2325 11.3697
Th U P
2 2 2
direct
0.1203 0.1203 0.1203 Th
0.8797 0.8797 0.8797 Th
0.3528 0.3528 0.3528 U
0.6472 0.6472 0.6472 U
0.2647 0.2647 0.2647 P
0.7353 0.7353 0.7353 P
```